For NiGeN2, a structure optimized by DFT (GGA-PBE) gives the computed powder XRD pattern in this record (Cu Kα).

Principal peaks in the range 2θ from 15° to 90°, by angle:
two_theta, I (rel.), (hkl)
32.23, 37, 1 2 0
33.40, 25, 2 0 0
35.04, 50, 0 0 2
36.82, 100, 1 2 1
37.86, 40, 2 0 1
48.35, 17, 1 2 2
56.72, 15, 0 4 0
58.97, 26, 3 2 0
64.03, 29, 1 2 3
70.47, 23, 3 2 2

Atomic structure:
Cell lengths 5.365, 6.491, 5.121 Å; angles 90.00, 90.00, 90.00 degrees
Fractional positions:
Ni 0.074 0.121 0.000
Ni 0.426 0.621 0.500
Ni 0.574 0.379 0.000
Ni 0.926 0.879 0.500
Ge 0.079 0.624 0.005
Ge 0.421 0.124 0.505
Ge 0.579 0.876 0.005
Ge 0.921 0.376 0.505
N 0.070 0.614 0.372
N 0.090 0.139 0.389
N 0.410 0.639 0.889
N 0.430 0.114 0.872
N 0.570 0.886 0.372
N 0.590 0.361 0.389
N 0.910 0.861 0.889
N 0.930 0.386 0.872